(1)
Diffraction record for Zr3TeS. The powder diffraction line list is computed, not measured: it uses a DFT-relaxed cell (PBE, Alexandria) and Cu Kα (λ = 1.5418 Å).

Crystal structure
```
data_Zr3TeS
_chemical_formula_sum 'Zr3 Te1 S1'
_cell_length_a 4.8534
_cell_length_b 4.8534
_cell_length_c 4.8534
_cell_angle_alpha 90.00
_cell_angle_beta 90.00
_cell_angle_gamma 90.00
_space_group_name_H-M_alt 'P m -3 m'
_space_group_IT_number 221
_space_group_name_Hall '-P 4 2 3'
loop_
_atom_site_label
_atom_site_fract_x
_atom_site_fract_y
_atom_site_fract_z
Zr1 0.0000 0.0000 0.5000
Te1 0.5000 0.5000 0.5000
S1 0.0000 0.0000 0.0000
```

Most intense lines, 5 to 70 degrees two-theta, sorted by position:
26.0 deg, intensity 8, (1 1 0)
31.9 deg, intensity 100, (1 1 1)
37.0 deg, intensity 69, (2 0 0)
45.8 deg, intensity 3, (2 1 1)
53.4 deg, intensity 47, (2 2 0)
60.3 deg, intensity 1, (3 1 0)
63.6 deg, intensity 40, (3 1 1)
66.8 deg, intensity 16, (2 2 2)



(2)
Diffraction record for ThS4. The powder diffraction line list is computed, not measured: it uses a DFT-relaxed cell (PBE, Alexandria) and Cu Kα (λ = 1.5418 Å).

Crystal structure
```
data_ThS4
_chemical_formula_sum 'Th1 S4'
_cell_length_a 5.4795
_cell_length_b 5.4795
_cell_length_c 5.4795
_cell_angle_alpha 90.00
_cell_angle_beta 90.00
_cell_angle_gamma 90.00
_space_group_name_H-M_alt 'P m -3 m'
_space_group_IT_number 221
_space_group_name_Hall '-P 4 2 3'
loop_
_atom_site_label
_atom_site_fract_x
_atom_site_fract_y
_atom_site_fract_z
Th1 0.0000 0.0000 0.0000
S1 0.0000 0.0000 0.5000
S2 0.5000 0.5000 0.5000
```

Most intense lines, 5 to 70 degrees two-theta, sorted by position:
16.2 deg, intensity 100, (1 0 0)
23.0 deg, intensity 90, (1 1 0)
32.7 deg, intensity 48, (2 0 0)
36.7 deg, intensity 55, (2 1 0)
40.3 deg, intensity 43, (2 1 1)
46.9 deg, intensity 34, (2 2 0)
49.9 deg, intensity 29, (3 0 0)
52.8 deg, intensity 20, (3 1 0)
61.0 deg, intensity 13, (3 2 0)
63.5 deg, intensity 23, (3 2 1)